# Mg2H2Ir3
Calculated powder diffractogram, a wavelength of 1.5418 Å. Input: a structure optimized by DFT (GGA-PBE).
Kinematic intensities with the Lorentz-polarization factor, no thermal factor.

Structural model:
```
data_Mg2H2Ir3
_symmetry_space_group_name_H-M 'P 1'
_symmetry_Int_Tables_number 1
_cell_length_a 4.4531
_cell_length_b 5.0768
_cell_length_c 5.2968
_cell_angle_alpha 96.04
_cell_angle_beta 114.86
_cell_angle_gamma 115.90
loop_
_symmetry_equiv_pos_as_xyz
'x,y,z'
loop_
_atom_site_label
_atom_site_fract_x
_atom_site_fract_y
_atom_site_fract_z
Mg1 0.0000 0.0000 0.0000
Mg2 0.0305 0.4105 0.6551
H1 0.5268 0.3658 0.6936
H2 0.5964 0.0464 0.1462
Ir1 0.2578 0.9601 0.5586
Ir2 0.5192 0.7455 0.2949
Ir3 0.7527 0.4260 0.0793
```

The 10 most intense peaks (2θ from 5° to 70°), in order of rising 2θ:
hkl 0 0 1, 2θ 19.75, intensity 16
hkl 0 1 -1, 2θ 23.09, intensity 100
hkl -1 1 1, 2θ 26.09, intensity 10
hkl 1 -2 0, 2θ 35.75, intensity 17
hkl -2 1 1, 2θ 40.53, intensity 41
hkl -1 1 2, 2θ 40.67, intensity 51
hkl 1 1 0, 2θ 41.77, intensity 42
hkl 2 0 -2, 2θ 47.17, intensity 36
hkl 1 0 -3, 2θ 52.34, intensity 18
hkl 1 2 -1, 2θ 55.05, intensity 13